Diffraction record for Pm3PrAl3. The XRD peak list is theoretical, not measured: it uses the GGA-PBE geometry in Alexandria and a wavelength of 1.5418 Å.

Structure:
Unit cell a=9.290 b=9.290 c=9.290 alpha=90.00 beta=90.00 gamma=90.00
Space group P2_13 (No. 198)
Inequivalent atoms, fractional coordinates:
Pm 0.076 0.424 0.576
Pm 0.176 0.176 0.176
Pm 0.177 0.823 0.323
Pr 0.074 0.574 0.926
Al 0.001 0.748 0.622

Principal peaks in the range 2θ = 10–80°, in order of rising 2θ:
- 23.5 deg, d 3.792, I 69
- 27.2 deg, d 3.284, I 21
- 30.4 deg, d 2.938, I 100
- 36.2 deg, d 2.483, I 83
- 48.0 deg, d 1.896, I 37
- 50.1 deg, d 1.822, I 51
- 61.5 deg, d 1.507, I 26
- 65.1 deg, d 1.433, I 19